Starting from a cell relaxed with GGA-PBE, the powder diffraction line list of SmAlZn11 was computed for Cu Kα, 1.54184 Å.
Peak positions follow from Bragg's law for the DFT cell and can differ from measured ones.

Unit cell a=5.2719 b=12.6038 c=6.8183 alpha=90.00 beta=112.58 gamma=90.00
Space group C2/m (No. 12)
Unique sites:
Sm1 0.0000 0.0000 0.0000 [2 per cell]
Al1 0.0000 0.0000 0.5000 [2 per cell]
Zn1 0.0000 0.5000 0.5000 [2 per cell]
Zn2 0.1049 0.3899 0.2171 [8 per cell]
Zn3 0.1777 0.1780 0.3544 [8 per cell]
Zn4 0.2500 0.2500 0.0000 [4 per cell]

Most intense lines, 2θ = 5–70°, in order of falling intensity:
- 40.3°, intensity 100, hkl 1 5 -1
- 39.7°, intensity 64, hkl 2 2 0
- 40.5°, intensity 50, hkl 0 4 2
- 34.7°, intensity 48, hkl 1 3 1
- 28.1°, intensity 23, hkl 1 3 -1
- 44.8°, intensity 23, hkl 2 4 -1